CsPCl5: theoretical powder XRD pattern (Cu Kα, 1.54184 Å), based on DFT lattice parameters and positions (GGA-PBE).

Main lines, in order of rising 2θ (10° ≤ 2θ ≤ 90°):
5.904 Å, 15.01 deg, I = 1000; 4.111 Å, 21.62 deg, I = 684; 3.374 Å, 26.42 deg, I = 441; 3.192 Å, 27.96 deg, I = 608; 3.066 Å, 29.12 deg, I = 784; 2.905 Å, 30.77 deg, I = 987; 2.445 Å, 36.75 deg, I = 361; 2.330 Å, 38.65 deg, I = 539; 1.941 Å, 46.80 deg, I = 271; 1.687 Å, 54.39 deg, I = 368

Crystal structure
```
data_CsPCl5
_chemical_formula_sum 'Cs2 P2 Cl10'
_cell_length_a 4.891
_cell_length_b 7.587
_cell_length_c 11.808
_cell_angle_alpha 90.00
_cell_angle_beta 90.00
_cell_angle_gamma 90.00
_symmetry_space_group_name_H-M 'I m m m'
_symmetry_Int_Tables_number 71
_symmetry_space_group_name_Hall '-I 2 2'
loop_
_atom_site_label
_atom_site_fract_x
_atom_site_fract_y
_atom_site_fract_z
_atom_site_occupancy
Cs1 0.000 0.000 0.000 1
P1 0.000 0.000 0.500 1
Cl1 0.000 0.208 0.366 1
Cl2 0.000 0.500 0.000 1
```

***

CsPCl4: theoretical powder XRD pattern (Cu Kα, 1.54184 Å), based on DFT lattice parameters and positions (GGA-PBE).

Main lines, in order of rising 2θ (10° ≤ 2θ ≤ 90°):
6.485 Å, 13.66 deg, I = 244; 5.110 Å, 17.35 deg, I = 812; 4.693 Å, 18.91 deg, I = 627; 3.457 Å, 25.77 deg, I = 463; 3.242 Å, 27.51 deg, I = 451; 3.201 Å, 27.87 deg, I = 1000; 3.156 Å, 28.27 deg, I = 193; 2.919 Å, 30.63 deg, I = 246; 2.831 Å, 31.60 deg, I = 318; 2.251 Å, 40.06 deg, I = 274

Crystal structure
```
data_CsPCl4
_chemical_formula_sum 'Cs2 P2 Cl8'
_cell_length_a 10.220
_cell_length_b 5.662
_cell_length_c 8.390
_cell_angle_alpha 90.00
_cell_angle_beta 90.00
_cell_angle_gamma 90.00
_symmetry_space_group_name_H-M 'P m n 21'
_symmetry_Int_Tables_number 31
loop_
_symmetry_equiv_pos_as_xyz
'x,y,z'
'-x+1/2,-y,z+1/2'
'-x,y,z'
'x+1/2,-y,z+1/2'
loop_
_atom_site_label
_atom_site_fract_x
_atom_site_fract_y
_atom_site_fract_z
_atom_site_occupancy
Cs1 0.000 0.241 0.000 1
P1 0.000 0.783 0.548 1
Cl1 0.000 0.146 0.513 1
Cl2 0.000 0.739 0.203 1
Cl3 0.159 0.765 0.714 1
```

***

CsPS3Cl: theoretical powder XRD pattern (Cu Kα, 1.54184 Å), based on DFT lattice parameters and positions (GGA-PBE).

Main lines, in order of rising 2θ (10° ≤ 2θ ≤ 90°):
4.724 Å, 18.79 deg, I = 1000; 4.373 Å, 20.31 deg, I = 335; 4.150 Å, 21.41 deg, I = 744; 3.855 Å, 23.07 deg, I = 616; 3.071 Å, 29.08 deg, I = 214; 2.952 Å, 30.28 deg, I = 383; 2.818 Å, 31.75 deg, I = 389; 2.143 Å, 42.16 deg, I = 215; 2.083 Å, 43.44 deg, I = 186; 1.623 Å, 56.73 deg, I = 262

Crystal structure
```
data_CsPS3Cl
_chemical_formula_sum 'Cs4 P4 S12 Cl4'
_cell_length_a 10.295
_cell_length_b 13.859
_cell_length_c 6.142
_cell_angle_alpha 90.00
_cell_angle_beta 113.41
_cell_angle_gamma 90.00
_symmetry_space_group_name_H-M 'C 1 2/c 1'
_symmetry_Int_Tables_number 15
loop_
_symmetry_equiv_pos_as_xyz
'x,y,z'
'-x,-y,-z'
'-x,y,-z+1/2'
'x,-y,z+1/2'
'x+1/2,y+1/2,z'
'-x+1/2,-y+1/2,-z'
'-x+1/2,y+1/2,-z+1/2'
'x+1/2,-y+1/2,z+1/2'
loop_
_atom_site_label
_atom_site_fract_x
_atom_site_fract_y
_atom_site_fract_z
_atom_site_occupancy
Cs1 0.000 0.153 0.250 1
P1 0.000 0.467 0.750 1
S1 0.000 0.321 0.750 1
S2 0.149 0.459 0.161 1
Cl1 0.000 0.092 0.750 1
```